K3Li2F7: computed powder X-ray diffraction pattern (Cu Kα (weighted mean of Kα1 and Kα2)), based on a cell relaxed with PBE.
Lines closer than 0.1° are merged.

Largest 10 diffraction maxima, in order of rising 2θ, 2θ from 5° to 70°:
2θ (°), d_spacing, intensity
22.53, 3.946, 12
24.77, 3.594, 11
30.42, 2.938, 19
31.52, 2.838, 30
35.76, 2.511, 35
40.50, 2.227, 100
41.89, 2.156, 23
45.18, 2.007, 56
63.31, 1.469, 20
65.82, 1.419, 14

a = 11.1495 Å, b = 11.1495 Å, c = 11.1495 Å
α = 159.26°, β = 159.26°, γ = 29.49°
Fractional positions:
K  0.0000  0.0000  0.0000
K  0.1818  0.1818  0.0000
K  0.8182  0.8182  0.0000
Li  0.4046  0.4046  0.0000
Li  0.5954  0.5954  0.0000
F  0.0943  0.5943  0.5000
F  0.3069  0.3069  0.0000
F  0.4057  0.9057  0.5000
F  0.5000  0.5000  0.0000
F  0.5943  0.0943  0.5000
F  0.6931  0.6931  0.0000
F  0.9057  0.4057  0.5000